Pm3Nd8Th: simulated powder diffractogram (λ = 1.5418 Å (Cu Kα)), based on a PBE-relaxed structure.
Peak positions follow from Bragg's law for the DFT cell and can differ from measured ones.

Cell and atoms:
Unit cell a=9.196 b=9.196 c=9.196 alpha=138.60 beta=121.15 gamma=74.49
Fractional coordinates of all 12 atoms:
Pm1 0.000 0.000 0.000
Pm2 0.118 0.618 0.500
Pm3 0.882 0.382 0.500
Nd1 0.140 0.444 0.009
Nd2 0.234 0.033 0.463
Nd3 0.430 0.967 0.201
Nd4 0.435 0.131 0.991
Nd5 0.565 0.556 0.696
Nd6 0.570 0.771 0.537
Nd7 0.766 0.229 0.799
Nd8 0.860 0.869 0.304
Th1 0.500 0.500 0.000

Largest 10 diffraction maxima, in order of rising 2θ, 2θ = 15–90°:
d [Å], Position (°2θ), intensity
3.596, 24.76, 34.2
3.008, 29.70, 100.0
2.994, 29.84, 46.0
2.952, 30.27, 64.3
2.561, 35.04, 48.1
2.482, 36.19, 31.3
2.215, 40.74, 24.5
1.586, 58.18, 25.2
1.571, 58.76, 21.5
1.505, 61.65, 24.6